Simulated powder diffractogram
Compound: KCdB3O6
Radiation: Cu Kα (λ = 1.5418 Å)
Structure: a PBE-relaxed structure
No peak broadening, texture or thermal motion is included.

Structure:
a b c (Å): 7.2993 13.4181 12.8869
angles (deg): 90.00 106.45 90.00
Space group C2/c (No. 15)
One atom of each set of equivalent atoms:
K1 0.0755 0.2420 0.1311
Cd1 0.0508 0.4265 0.6223
B1 0.1214 0.1934 0.6259
B2 0.1539 0.0784 0.9116
B3 0.1724 0.0127 0.6571
O1 0.0266 0.0011 0.3789
O2 0.0771 0.1747 0.9121
O3 0.1560 0.4348 0.0607
O4 0.1969 0.2834 0.6263
O5 0.2098 0.4341 0.8155
O6 0.2410 0.1109 0.6635

Most intense lines, 2θ = 5–70°, by intensity:
2theta  intensity  h k l
14.27  100  1 1 0
28.90  91  0 0 4
25.44  61  2 0 -2
25.74  56  1 3 1
23.61  49  1 3 -1
29.58  49  1 3 -3
31.44  47  2 2 1
15.03  33  0 2 1
13.20  32  0 2 0
35.55  31  1 1 4

---

Simulated powder diffractogram
Compound: LiCdBO3
Radiation: Cu Kα (λ = 1.5418 Å)
Structure: a PBE-relaxed structure
No peak broadening, texture or thermal motion is included.

Structure:
a b c (Å): 5.2741 5.3072 6.2596
angles (deg): 90.09 111.79 118.96
Space group P-1 (No. 2)
One atom of each set of equivalent atoms:
Li1 0.0681 0.1365 0.3360
Cd1 0.3421 0.7568 0.2302
B1 0.3021 0.5679 0.7318
O1 0.1278 0.6405 0.8161
O2 0.2279 0.2787 0.6937
O3 0.4586 0.2129 0.3196

Most intense lines, 2θ = 5–70°, by intensity:
2theta  intensity  h k l
31.58  100  0 0 2
20.03  97  1 -1 0
22.23  83  0 1 -1
20.36  43  1 0 -1
33.40  41  1 1 -1
27.83  39  0 1 1
21.27  37  1 0 0
39.83  37  0 2 0
39.12  32  2 0 -1
29.64  29  1 0 -2

---

Simulated powder diffractogram
Compound: LiCdBO3
Radiation: Cu Kα (λ = 1.5418 Å)
Structure: a PBE-relaxed structure
No peak broadening, texture or thermal motion is included.

Structure:
a b c (Å): 8.4339 8.4339 3.3159
angles (deg): 90.00 90.00 120.00
Space group P-6 (No. 174)
One atom of each set of equivalent atoms:
Li1 0.0504 0.3757 0.0000
Cd1 0.3382 0.3022 0.5000
B1 0.0000 0.0000 0.0000
B2 0.3333 0.6667 0.5000
B3 0.6667 0.3333 0.0000
O1 0.1900 0.0847 0.0000
O2 0.2088 0.4789 0.5000
O3 0.5601 0.4171 0.0000

Most intense lines, 2θ = 5–70°, by intensity:
2theta  intensity  h k l
21.07  100  1 1 0
34.41  80  1 1 1
46.26  28  3 0 1
36.92  24  3 0 0
51.35  20  2 2 1
42.89  18  2 2 0
26.89  16  0 0 1
52.97  13  3 1 1
64.91  12  1 4 1
32.43  12  1 2 0

---

Simulated powder diffractogram
Compound: Mg14CdB
Radiation: Cu Kα (λ = 1.5418 Å)
Structure: a PBE-relaxed structure
No peak broadening, texture or thermal motion is included.

Structure:
a b c (Å): 6.2317 6.2317 10.1861
angles (deg): 90.00 90.00 120.00
Space group P-6m2 (No. 187)
One atom of each set of equivalent atoms:
Mg1 0.0000 0.0000 0.2477
Mg2 0.0081 0.5041 0.2577
Mg3 0.3301 0.1651 0.5000
Mg4 0.3340 0.1670 0.0000
Cd1 0.3333 0.6667 0.0000
B1 0.3333 0.6667 0.5000

Most intense lines, 2θ = 5–70°, by intensity:
2theta  intensity  h k l
37.73  100  2 0 2
18.61  36  1 0 1
8.68  28  0 0 1
35.24  27  0 0 4
33.20  25  2 0 0
64.89  19  2 0 6
59.32  17  2 2 0
49.20  16  2 0 4
16.43  13  1 0 0
29.99  13  1 1 1

---

Simulated powder diffractogram
Compound: Mg14CdB
Radiation: Cu Kα (λ = 1.5418 Å)
Structure: a PBE-relaxed structure
No peak broadening, texture or thermal motion is included.

Structure:
a b c (Å): 10.1747 6.2956 10.7206
angles (deg): 90.00 90.00 90.00
Space group Amm2 (No. 38)
One atom of each set of equivalent atoms:
Mg1 0.0000 0.0000 0.0000
Mg2 0.0000 0.0000 0.4989
Mg3 0.0000 0.2479 0.2536
Mg4 0.2458 0.0000 0.6693
Mg5 0.2551 0.0000 0.1668
Mg6 0.2706 0.2410 0.9230
Mg7 0.5000 0.2450 0.2325
Cd1 0.5000 0.0000 0.4973
B1 0.5000 0.0000 0.0289

Most intense lines, 2θ = 5–70°, by intensity:
2theta  intensity  h k l
37.56  100  2 2 2
37.95  41  2 0 4
35.28  36  4 0 0
18.52  35  1 1 1
8.69  31  1 0 0
23.97  22  2 1 1
16.33  21  0 1 1
33.00  21  0 2 2
64.83  19  6 2 2
33.44  17  0 0 4

---

Simulated powder diffractogram
Compound: Mg6CdB
Radiation: Cu Kα (λ = 1.5418 Å)
Structure: a PBE-relaxed structure
No peak broadening, texture or thermal motion is included.

Structure:
a b c (Å): 4.9088 6.2235 10.4253
angles (deg): 90.00 90.00 90.00
Space group Amm2 (No. 38)
One atom of each set of equivalent atoms:
Mg1 0.0000 0.0000 0.0000
Mg2 0.0000 0.0000 0.4948
Mg3 0.0000 0.2420 0.2536
Mg4 0.5000 0.2501 0.0832
Cd1 0.5000 0.0000 0.8334
B1 0.5000 0.0000 0.3351

Most intense lines, 2θ = 5–70°, by intensity:
2theta  intensity  h k l
38.36  100  1 2 2
16.59  71  0 1 1
24.63  65  1 1 1
39.13  47  1 0 4
36.61  37  2 0 0
33.54  28  0 2 2
34.76  26  1 1 3
29.44  20  0 1 3
17.01  19  0 0 2
67.07  18  3 2 2

---

Simulated powder diffractogram
Compound: Mg6CdB
Radiation: Cu Kα (λ = 1.5418 Å)
Structure: a PBE-relaxed structure
No peak broadening, texture or thermal motion is included.

Structure:
a b c (Å): 4.8062 6.1424 11.0561
angles (deg): 90.00 90.00 90.00
Space group Amm2 (No. 38)
One atom of each set of equivalent atoms:
Mg1 0.0000 0.0000 0.0000
Mg2 0.0000 0.2273 0.2645
Mg3 0.5000 0.0000 0.8298
Mg4 0.5000 0.2492 0.0846
Cd1 0.0000 0.0000 0.5143
B1 0.5000 0.0000 0.2581

Most intense lines, 2θ = 5–70°, by intensity:
2theta  intensity  h k l
38.41  100  1 2 2
24.86  51  1 1 1
16.51  39  0 1 1
37.54  37  1 0 4
37.42  32  2 0 0
16.03  31  0 0 2
18.46  28  1 0 0
32.39  25  0 0 4
33.38  24  0 2 2
28.24  24  0 1 3

---

Simulated powder diffractogram
Compound: CdB2O4
Radiation: Cu Kα (λ = 1.5418 Å)
Structure: a PBE-relaxed structure
No peak broadening, texture or thermal motion is included.

Structure:
a b c (Å): 8.3003 14.0045 5.0832
angles (deg): 90.00 90.00 90.00
Space group Pccn (No. 56)
One atom of each set of equivalent atoms:
Cd1 0.1179 0.1460 0.1145
B1 0.0344 0.6386 0.8763
B2 0.2437 0.5510 0.1348
O1 0.0941 0.6094 0.1151
O2 0.1084 0.1883 0.6349
O3 0.1139 0.6161 0.6482
O4 0.2397 0.0064 0.8851

Most intense lines, 2θ = 5–70°, by intensity:
2theta  intensity  h k l
12.40  100  1 1 0
30.60  54  2 2 1
25.44  50  0 4 0
33.82  46  1 5 0
45.43  26  1 4 2
24.15  24  1 2 1
36.99  23  1 0 2
35.91  21  0 1 2
28.09  20  1 3 1
48.65  20  3 0 2